Simulated XRD peak list of Sr4SbO2 for Cu Kα X-rays, from the PBE geometry in Alexandria.
Lines closer than 0.1° are merged.

Peak list (6 most intense, 2θ from 5° to 70°, sorted by position)
| 2theta | I/Imax | (hkl) |
| --- | --- | --- |
| 18.80 | 492 | 2 0 -2 |
| 27.23 | 709 | 2 2 -2 |
| 30.05 | 733 | 3 1 0 |
| 30.95 | 1000 | 1 3 -1 |
| 33.70 | 239 | 2 2 1 |
| 39.95 | 347 | 5 1 -2 |

Atomic structure:
Cell lengths 11.7754, 9.0955, 9.8451 Å; angles 90.00, 126.68, 90.00 degrees
Space group C2 (No. 5)
One atom of each set of equivalent atoms:
Sr: 0.0057 0.0000 0.3348 (multiplicity 4)
Sr: 0.0482 0.4501 0.2318 (multiplicity 4)
Sr: 0.1705 0.6950 0.6657 (multiplicity 4)
Sr: 0.1840 0.7449 0.2313 (multiplicity 4)
Sb: 0.0000 0.0979 0.0000 (multiplicity 2)
Sb: 0.0000 0.3476 0.5000 (multiplicity 2)
O: 0.0492 0.7226 0.3484 (multiplicity 4)
O: 0.2004 0.9725 0.6521 (multiplicity 4)